Diffraction record for Li4AlPt. The powder XRD pattern is simulated, not measured: it uses the PBE geometry in Alexandria and Cu Kα (λ = 1.5418 Å).

Principal peaks in the range 2θ = 10–80°, by angle:
d/Å  I/Imax
5.126  41
3.829  100
3.068  69
2.211  30
2.130  42
2.030  23
1.915  15
1.794  15
1.393  14
1.261  12

Crystal structure
a = 4.421 Å, b = 4.421 Å, c = 5.126 Å
α = 90.13°, β = 90.13°, γ = 60.01°
Sites, in units of the cell vectors:
1 Li 0.166 0.166 0.234
2 Li 0.167 0.167 0.765
3 Li 0.833 0.833 0.235
4 Li 0.834 0.834 0.766
5 Al 0.500 0.500 0.500
6 Pt 0.500 0.500 0.000